Record 1
Computed powder XRD pattern of La3NdDy7 for Cu Kα, 1.54184 Å, from a structure optimized by DFT (GGA-PBE).
No peak broadening, texture or thermal motion is included.

Principal peaks in the range 10° ≤ 2θ ≤ 90°, by intensity:
2θ/deg, intensity
31.2, 100
30.6, 93
30.7, 78
37.2, 64
32.9, 60
63.7, 45
50.4, 24
50.6, 23
65.0, 18
57.5, 16
53.0, 16
54.3, 15

Atomic structure:
```
data_La3NdDy7
_cell_length_a 7.751
_cell_length_b 7.751
_cell_length_c 6.436
_cell_angle_alpha 93.44
_cell_angle_beta 93.44
_cell_angle_gamma 81.64
_symmetry_space_group_name_H-M 'P 1'
_symmetry_Int_Tables_number 1
loop_
_symmetry_equiv_pos_as_xyz
'x,y,z'
loop_
_atom_site_label
_atom_site_type_symbol
_atom_site_fract_x
_atom_site_fract_y
_atom_site_fract_z
La1 La 0.000 0.000 0.000
La2 La 0.179 0.821 0.500
La3 La 0.821 0.179 0.500
Nd1 Nd 0.500 0.500 0.000
Dy1 Dy 0.088 0.428 0.237
Dy2 Dy 0.239 0.239 0.708
Dy3 Dy 0.428 0.088 0.237
Dy4 Dy 0.500 0.500 0.500
Dy5 Dy 0.572 0.912 0.763
Dy6 Dy 0.761 0.761 0.292
Dy7 Dy 0.912 0.572 0.763
```


Record 2
Computed powder XRD pattern of La4NdDy3 for Cu Kα, 1.54184 Å, from a structure optimized by DFT (GGA-PBE).
No peak broadening, texture or thermal motion is included.

Principal peaks in the range 10° ≤ 2θ ≤ 90°, by intensity:
2θ/deg, intensity
31.8, 100
30.3, 25
27.9, 24
54.8, 21
41.6, 16
58.9, 15
49.2, 13
59.9, 11
81.0, 9
84.0, 8
59.0, 8
49.4, 6

Atomic structure:
```
data_La4NdDy3
_cell_length_a 11.786
_cell_length_b 7.386
_cell_length_c 6.417
_cell_angle_alpha 90.00
_cell_angle_beta 90.00
_cell_angle_gamma 90.00
_symmetry_space_group_name_H-M 'P 1'
_symmetry_Int_Tables_number 1
loop_
_symmetry_equiv_pos_as_xyz
'x,y,z'
loop_
_atom_site_label
_atom_site_type_symbol
_atom_site_fract_x
_atom_site_fract_y
_atom_site_fract_z
La1 La 0.000 0.128 0.000
La2 La 0.000 0.870 0.516
La3 La 0.244 0.125 0.335
La4 La 0.256 0.875 0.835
La5 La 0.500 0.130 0.016
La6 La 0.500 0.872 0.500
La7 La 0.744 0.875 0.835
La8 La 0.756 0.125 0.335
Nd1 Nd 0.000 0.625 0.007
Nd2 Nd 0.500 0.375 0.507
Dy1 Dy 0.000 0.380 0.505
Dy2 Dy 0.250 0.380 0.836
Dy3 Dy 0.250 0.620 0.336
Dy4 Dy 0.500 0.620 0.005
Dy5 Dy 0.750 0.380 0.836
Dy6 Dy 0.750 0.620 0.336
```


Record 3
Computed powder XRD pattern of La8Nd4Dy for Cu Kα, 1.54184 Å, from a structure optimized by DFT (GGA-PBE).
No peak broadening, texture or thermal motion is included.

Principal peaks in the range 10° ≤ 2θ ≤ 90°, by intensity:
2θ/deg, intensity
30.0, 100
37.6, 45
22.3, 29
53.2, 20
26.9, 19
55.4, 18
62.3, 12
58.4, 12
86.3, 10
34.4, 10
67.0, 10
34.6, 9

Atomic structure:
```
data_La8Nd4Dy
_cell_length_a 7.963
_cell_length_b 7.963
_cell_length_c 7.963
_cell_angle_alpha 97.03
_cell_angle_beta 97.03
_cell_angle_gamma 97.03
_symmetry_space_group_name_H-M 'P 1'
_symmetry_Int_Tables_number 1
loop_
_symmetry_equiv_pos_as_xyz
'x,y,z'
loop_
_atom_site_label
_atom_site_type_symbol
_atom_site_fract_x
_atom_site_fract_y
_atom_site_fract_z
La1 La 0.170 0.170 0.672
La2 La 0.170 0.672 0.170
La3 La 0.238 0.238 0.238
La4 La 0.328 0.830 0.830
La5 La 0.672 0.170 0.170
La6 La 0.762 0.762 0.762
La7 La 0.830 0.328 0.830
La8 La 0.830 0.830 0.328
Nd1 Nd 0.000 0.000 0.000
Nd2 Nd 0.000 0.500 0.500
Nd3 Nd 0.500 0.000 0.500
Nd4 Nd 0.500 0.500 0.000
Dy1 Dy 0.500 0.500 0.500
```


Record 4
Computed powder XRD pattern of LaNd6Dy12 for Cu Kα, 1.54184 Å, from a structure optimized by DFT (GGA-PBE).
No peak broadening, texture or thermal motion is included.

Principal peaks in the range 10° ≤ 2θ ≤ 90°, by intensity:
2θ/deg, intensity
31.8, 100
31.4, 63
31.3, 55
29.2, 48
34.1, 39
56.5, 27
55.1, 26
34.3, 26
28.7, 25
34.6, 23
49.2, 21
83.9, 20

Atomic structure:
```
data_LaNd6Dy12
_cell_length_a 8.784
_cell_length_b 8.784
_cell_length_c 8.784
_cell_angle_alpha 98.80
_cell_angle_beta 98.80
_cell_angle_gamma 98.80
_symmetry_space_group_name_H-M 'P 1'
_symmetry_Int_Tables_number 1
loop_
_symmetry_equiv_pos_as_xyz
'x,y,z'
loop_
_atom_site_label
_atom_site_type_symbol
_atom_site_fract_x
_atom_site_fract_y
_atom_site_fract_z
La1 La 0.000 0.000 0.000
Nd1 Nd 0.100 0.100 0.654
Nd2 Nd 0.100 0.654 0.100
Nd3 Nd 0.346 0.900 0.900
Nd4 Nd 0.654 0.100 0.100
Nd5 Nd 0.900 0.346 0.900
Nd6 Nd 0.900 0.900 0.346
Dy1 Dy 0.081 0.356 0.356
Dy2 Dy 0.243 0.500 0.757
Dy3 Dy 0.243 0.757 0.500
Dy4 Dy 0.356 0.081 0.356
Dy5 Dy 0.356 0.356 0.081
Dy6 Dy 0.500 0.243 0.757
Dy7 Dy 0.500 0.757 0.243
Dy8 Dy 0.644 0.644 0.919
Dy9 Dy 0.644 0.919 0.644
Dy10 Dy 0.757 0.243 0.500
Dy11 Dy 0.757 0.500 0.243
Dy12 Dy 0.919 0.644 0.644
```


Record 5
Computed powder XRD pattern of La6NdDy3 for Cu Kα, 1.54184 Å, from a structure optimized by DFT (GGA-PBE).
No peak broadening, texture or thermal motion is included.

Principal peaks in the range 10° ≤ 2θ ≤ 90°, by intensity:
2θ/deg, intensity
30.4, 100
32.4, 63
29.0, 63
32.0, 53
31.5, 28
45.5, 26
56.1, 18
36.5, 16
49.3, 15
67.0, 13
57.3, 13
17.1, 11

Atomic structure:
```
data_La6NdDy3
_cell_length_a 10.856
_cell_length_b 11.777
_cell_length_c 5.588
_cell_angle_alpha 90.00
_cell_angle_beta 90.00
_cell_angle_gamma 90.00
_symmetry_space_group_name_H-M 'P 1'
_symmetry_Int_Tables_number 1
loop_
_symmetry_equiv_pos_as_xyz
'x,y,z'
loop_
_atom_site_label
_atom_site_type_symbol
_atom_site_fract_x
_atom_site_fract_y
_atom_site_fract_z
La1 La 0.117 0.202 0.000
La2 La 0.146 0.693 0.500
La3 La 0.152 0.395 0.500
La4 La 0.348 0.895 0.500
La5 La 0.354 0.193 0.500
La6 La 0.383 0.702 0.000
La7 La 0.617 0.298 0.000
La8 La 0.646 0.807 0.500
La9 La 0.652 0.105 0.500
La10 La 0.848 0.605 0.500
La11 La 0.854 0.307 0.500
La12 La 0.883 0.798 0.000
Nd1 Nd 0.000 0.000 0.500
Nd2 Nd 0.500 0.500 0.500
Dy1 Dy 0.000 0.500 0.000
Dy2 Dy 0.171 0.915 0.000
Dy3 Dy 0.329 0.415 0.000
Dy4 Dy 0.500 0.000 0.000
Dy5 Dy 0.671 0.585 0.000
Dy6 Dy 0.829 0.085 0.000
```


Record 6
Computed powder XRD pattern of La4NdDy4 for Cu Kα, 1.54184 Å, from a structure optimized by DFT (GGA-PBE).
No peak broadening, texture or thermal motion is included.

Principal peaks in the range 10° ≤ 2θ ≤ 90°, by intensity:
2θ/deg, intensity
29.9, 100
30.0, 99
34.7, 68
59.4, 43
34.9, 33
49.9, 24
50.0, 24
50.1, 24
59.2, 14
59.6, 14
62.4, 12
81.2, 9

Atomic structure:
```
data_La4NdDy4
_cell_length_a 6.297
_cell_length_b 9.667
_cell_length_c 10.948
_cell_angle_alpha 100.82
_cell_angle_beta 106.46
_cell_angle_gamma 96.22
_symmetry_space_group_name_H-M 'P 1'
_symmetry_Int_Tables_number 1
loop_
_symmetry_equiv_pos_as_xyz
'x,y,z'
loop_
_atom_site_label
_atom_site_type_symbol
_atom_site_fract_x
_atom_site_fract_y
_atom_site_fract_z
La1 La 0.249 0.249 0.083
La2 La 0.250 0.915 0.528
La3 La 0.251 0.248 0.751
La4 La 0.251 0.584 0.640
La5 La 0.749 0.416 0.360
La6 La 0.749 0.752 0.249
La7 La 0.750 0.085 0.472
La8 La 0.751 0.751 0.917
Nd1 Nd 0.248 0.583 0.303
Nd2 Nd 0.752 0.417 0.697
Dy1 Dy 0.246 0.247 0.415
Dy2 Dy 0.249 0.919 0.191
Dy3 Dy 0.251 0.584 0.974
Dy4 Dy 0.252 0.917 0.864
Dy5 Dy 0.748 0.083 0.136
Dy6 Dy 0.749 0.416 0.026
Dy7 Dy 0.751 0.081 0.809
Dy8 Dy 0.754 0.753 0.585
```


Record 7
Computed powder XRD pattern of LaNd3Dy2 for Cu Kα, 1.54184 Å, from a structure optimized by DFT (GGA-PBE).
No peak broadening, texture or thermal motion is included.

Principal peaks in the range 10° ≤ 2θ ≤ 90°, by intensity:
2θ/deg, intensity
30.9, 100
31.0, 55
55.0, 39
44.3, 27
61.2, 24
78.7, 11
40.2, 11
89.9, 8
73.2, 8
64.6, 7
51.4, 7
25.0, 6

Atomic structure:
```
data_LaNd3Dy2
_cell_length_a 6.778
_cell_length_b 6.778
_cell_length_c 11.540
_cell_angle_alpha 115.10
_cell_angle_beta 115.10
_cell_angle_gamma 63.26
_symmetry_space_group_name_H-M 'P 1'
_symmetry_Int_Tables_number 1
loop_
_symmetry_equiv_pos_as_xyz
'x,y,z'
loop_
_atom_site_label
_atom_site_type_symbol
_atom_site_fract_x
_atom_site_fract_y
_atom_site_fract_z
La1 La 0.005 0.995 0.750
La2 La 0.995 0.005 0.250
Nd1 Nd 0.084 0.580 0.916
Nd2 Nd 0.420 0.916 0.584
Nd3 Nd 0.497 0.503 0.750
Nd4 Nd 0.503 0.497 0.250
Nd5 Nd 0.580 0.084 0.416
Nd6 Nd 0.916 0.420 0.084
Dy1 Dy 0.084 0.585 0.419
Dy2 Dy 0.415 0.916 0.081
Dy3 Dy 0.585 0.084 0.919
Dy4 Dy 0.916 0.415 0.581
```


Record 8
Computed powder XRD pattern of LaNd2Dy9 for Cu Kα, 1.54184 Å, from a structure optimized by DFT (GGA-PBE).
No peak broadening, texture or thermal motion is included.

Principal peaks in the range 10° ≤ 2θ ≤ 90°, by intensity:
2θ/deg, intensity
31.5, 100
31.2, 55
61.9, 30
29.8, 23
55.9, 20
44.9, 19
35.0, 19
56.1, 18
79.8, 14
37.4, 13
65.8, 11
49.7, 10

Atomic structure:
```
data_LaNd2Dy9
_cell_length_a 11.357
_cell_length_b 11.357
_cell_length_c 3.532
_cell_angle_alpha 90.00
_cell_angle_beta 90.00
_cell_angle_gamma 120.00
_symmetry_space_group_name_H-M 'P 1'
_symmetry_Int_Tables_number 1
loop_
_symmetry_equiv_pos_as_xyz
'x,y,z'
loop_
_atom_site_label
_atom_site_type_symbol
_atom_site_fract_x
_atom_site_fract_y
_atom_site_fract_z
La1 La 0.000 0.000 0.000
Nd1 Nd 0.333 0.667 0.000
Nd2 Nd 0.667 0.333 0.000
Dy1 Dy 0.000 0.500 0.000
Dy2 Dy 0.176 0.353 0.500
Dy3 Dy 0.176 0.824 0.500
Dy4 Dy 0.353 0.176 0.500
Dy5 Dy 0.500 0.000 0.000
Dy6 Dy 0.500 0.500 0.000
Dy7 Dy 0.647 0.824 0.500
Dy8 Dy 0.824 0.176 0.500
Dy9 Dy 0.824 0.647 0.500
```


Record 9
Computed powder XRD pattern of LaNd7Dy2 for Cu Kα, 1.54184 Å, from a structure optimized by DFT (GGA-PBE).
No peak broadening, texture or thermal motion is included.

Principal peaks in the range 10° ≤ 2θ ≤ 90°, by intensity:
2θ/deg, intensity
30.6, 100
31.4, 80
30.7, 37
29.6, 36
56.1, 15
55.3, 15
41.9, 14
45.8, 12
44.1, 11
32.7, 10
55.4, 10
32.8, 10

Atomic structure:
```
data_LaNd7Dy2
_cell_length_a 6.621
_cell_length_b 6.756
_cell_length_c 8.629
_cell_angle_alpha 73.15
_cell_angle_beta 71.70
_cell_angle_gamma 83.65
_symmetry_space_group_name_H-M 'P 1'
_symmetry_Int_Tables_number 1
loop_
_symmetry_equiv_pos_as_xyz
'x,y,z'
loop_
_atom_site_label
_atom_site_type_symbol
_atom_site_fract_x
_atom_site_fract_y
_atom_site_fract_z
La1 La 0.000 0.000 0.000
Nd1 Nd 0.000 0.000 0.500
Nd2 Nd 0.203 0.594 0.770
Nd3 Nd 0.228 0.541 0.343
Nd4 Nd 0.422 0.237 0.061
Nd5 Nd 0.578 0.763 0.939
Nd6 Nd 0.772 0.459 0.657
Nd7 Nd 0.797 0.406 0.230
Dy1 Dy 0.424 0.142 0.637
Dy2 Dy 0.576 0.858 0.363
```


Record 10
Computed powder XRD pattern of La5Nd3Dy3 for Cu Kα, 1.54184 Å, from a structure optimized by DFT (GGA-PBE).
No peak broadening, texture or thermal motion is included.

Principal peaks in the range 10° ≤ 2θ ≤ 90°, by intensity:
2θ/deg, intensity
32.3, 100
29.9, 86
40.6, 83
26.8, 78
35.0, 73
47.5, 44
61.8, 40
23.6, 36
31.0, 35
62.9, 30
25.5, 27
27.1, 21

Atomic structure:
```
data_La5Nd3Dy3
_cell_length_a 11.526
_cell_length_b 11.526
_cell_length_c 3.491
_cell_angle_alpha 90.00
_cell_angle_beta 90.00
_cell_angle_gamma 120.00
_symmetry_space_group_name_H-M 'P 1'
_symmetry_Int_Tables_number 1
loop_
_symmetry_equiv_pos_as_xyz
'x,y,z'
loop_
_atom_site_label
_atom_site_type_symbol
_atom_site_fract_x
_atom_site_fract_y
_atom_site_fract_z
La1 La 0.000 0.337 0.000
La2 La 0.333 0.667 0.000
La3 La 0.337 0.000 0.000
La4 La 0.663 0.663 0.000
La5 La 0.667 0.333 0.000
Nd1 Nd 0.000 0.599 0.500
Nd2 Nd 0.401 0.401 0.500
Nd3 Nd 0.599 0.000 0.500
Dy1 Dy 0.000 0.841 0.000
Dy2 Dy 0.159 0.159 0.000
Dy3 Dy 0.841 0.000 0.000
```


Record 11
Computed powder XRD pattern of LaNd10Dy4 for Cu Kα, 1.54184 Å, from a structure optimized by DFT (GGA-PBE).
No peak broadening, texture or thermal motion is included.

Principal peaks in the range 10° ≤ 2θ ≤ 90°, by intensity:
2θ/deg, intensity
31.2, 100
34.1, 93
27.6, 64
28.2, 40
44.6, 38
35.7, 38
14.6, 31
29.6, 30
62.8, 27
40.9, 26
44.7, 25
31.6, 25

Atomic structure:
```
data_LaNd10Dy4
_cell_length_a 9.696
_cell_length_b 9.696
_cell_length_c 9.696
_cell_angle_alpha 97.30
_cell_angle_beta 97.30
_cell_angle_gamma 138.23
_symmetry_space_group_name_H-M 'P 1'
_symmetry_Int_Tables_number 1
loop_
_symmetry_equiv_pos_as_xyz
'x,y,z'
loop_
_atom_site_label
_atom_site_type_symbol
_atom_site_fract_x
_atom_site_fract_y
_atom_site_fract_z
La1 La 0.000 0.000 0.000
Nd1 Nd 0.043 0.882 0.418
Nd2 Nd 0.118 0.536 0.161
Nd3 Nd 0.250 0.750 0.500
Nd4 Nd 0.375 0.957 0.839
Nd5 Nd 0.464 0.625 0.582
Nd6 Nd 0.536 0.375 0.418
Nd7 Nd 0.625 0.043 0.161
Nd8 Nd 0.750 0.250 0.500
Nd9 Nd 0.882 0.464 0.839
Nd10 Nd 0.957 0.118 0.582
Dy1 Dy 0.323 0.567 0.890
Dy2 Dy 0.433 0.323 0.756
Dy3 Dy 0.567 0.677 0.244
Dy4 Dy 0.677 0.433 0.110
```


Record 12
Computed powder XRD pattern of LaNd5Dy for Cu Kα, 1.54184 Å, from a structure optimized by DFT (GGA-PBE).
No peak broadening, texture or thermal motion is included.

Principal peaks in the range 10° ≤ 2θ ≤ 90°, by intensity:
2θ/deg, intensity
29.5, 100
14.6, 100
30.3, 93
20.2, 75
34.1, 69
18.1, 62
45.7, 61
26.3, 60
23.3, 49
33.7, 46
42.7, 36
42.8, 36

Atomic structure:
```
data_LaNd5Dy
_cell_length_a 8.044
_cell_length_b 8.044
_cell_length_c 5.898
_cell_angle_alpha 111.40
_cell_angle_beta 111.40
_cell_angle_gamma 66.31
_symmetry_space_group_name_H-M 'P 1'
_symmetry_Int_Tables_number 1
loop_
_symmetry_equiv_pos_as_xyz
'x,y,z'
loop_
_atom_site_label
_atom_site_type_symbol
_atom_site_fract_x
_atom_site_fract_y
_atom_site_fract_z
La1 La 0.000 0.000 0.000
Nd1 Nd 0.000 0.000 0.500
Nd2 Nd 0.249 0.249 0.249
Nd3 Nd 0.323 0.677 0.000
Nd4 Nd 0.677 0.323 0.000
Nd5 Nd 0.751 0.751 0.751
Dy1 Dy 0.500 0.500 0.500
```